Structure and simulated powder X-ray diffraction pattern of ZnGeWO6 (DFT lattice parameters and positions (PBE+U); Cu Ka).
Intensities are scaled so that the largest is 100.

Main lines, sorted by position (5° ≤ 2θ ≤ 70°):
(0 0 2), 19.44°, d = 4.565 Å, rel. 39.9; (1 0 1), 22.48°, d = 3.956 Å, rel. 34.1; (1 0 2), 28.20°, d = 3.164 Å, rel. 100.0; (1 1 0), 35.42°, d = 2.534 Å, rel. 52.9; (1 1 2), 40.73°, d = 2.216 Å, rel. 35.6; (1 1 4), 54.07°, d = 1.696 Å, rel. 54.4

abc: 5.0679 5.0679 9.1306
angles: 90.00 90.00 120.00
Space group P-31c (No. 163)
Asymmetric unit:
Zn  0.0000  0.0000  0.0000 x2
Ge  0.3333  0.6667  0.2500 x2
W  0.3333  0.6667  0.7500 x2
O  0.0049  0.3605  0.1350 x12